MgTeMoO6: theoretical powder diffractogram (Cu Kα X-rays), based on a DFT-relaxed cell (GGA+U, Alexandria).
Neutral-atom scattering factors, no anomalous dispersion.

Top 10 peaks for 2θ = 15–90°, by angle:
(hkl)	2θ/deg	I/Imax
0 0 2	19.1	55
1 1 0	24.1	80
1 0 2	26.0	31
1 1 2	30.9	100
0 2 0	33.4	17
0 2 2	38.8	22
2 2 0	49.4	28
2 2 2	53.4	21
1 3 2	58.2	19
3 1 2	60.6	16

Structure:
```
data_MgTeMoO6
_chemical_formula_sum 'Mg2 Te2 Mo2 O12'
_cell_length_a 5.0909
_cell_length_b 5.3641
_cell_length_c 9.2925
_cell_angle_alpha 90.00
_cell_angle_beta 90.00
_cell_angle_gamma 90.00
_space_group_name_H-M_alt 'P 21 21 2'
_space_group_IT_number 18
loop_
_space_group_symop_operation_xyz
'x,y,z'
'-x,-y,z'
'x+1/2,-y+1/2,-z'
'-x+1/2,y+1/2,-z'
loop_
_atom_site_label
_atom_site_type_symbol
_atom_site_fract_x
_atom_site_fract_y
_atom_site_fract_z
Mg1 Mg 0.0000 0.0000 0.0327
Te1 Te 0.0000 0.5000 0.2356
Mo1 Mo 0.0000 0.5000 0.6976
O1 O 0.1521 0.2849 0.5856
O2 O 0.2213 0.6695 0.1006
O3 O 0.2329 0.1739 0.2021
```